No. 1
This entry pairs a crystal structure of DyZrF7 with its theoretical X-ray powder pattern. Radiation: a wavelength of 1.5418 Å. Structure: a cell relaxed with GGA-PBE.
Neutral-atom scattering factors, no anomalous dispersion.

Atomic structure:
```
DyZrF7
1.0
6.124 0.000 0.000
0.000 5.726 0.000
-1.742 0.000 8.138
Dy Zr F
2 2 14
Direct
0.155 0.000 0.184 Dy
0.845 0.500 0.816 Dy
0.312 0.990 0.724 Zr
0.688 0.490 0.276 Zr
0.043 0.204 0.713 F
0.044 0.306 0.022 F
0.121 0.694 0.719 F
0.254 0.995 0.474 F
0.360 0.988 0.974 F
0.424 0.270 0.268 F
0.457 0.753 0.259 F
0.543 0.253 0.741 F
0.576 0.770 0.732 F
0.640 0.488 0.026 F
0.746 0.495 0.526 F
0.879 0.194 0.281 F
0.956 0.806 0.978 F
0.957 0.704 0.287 F
```

Most intense lines, 10 to 90 degrees two-theta, by intensity:
| 2θ/deg | intensity | (hkl) |
| --- | --- | --- |
| 21.47 | 100 | 1 1 0 |
| 21.84 | 36 | 0 0 2 |
| 28.45 | 29 | 1 1 -2 |
| 25.52 | 24 | 1 1 1 |
| 46.84 | 17 | 2 2 1 |
| 26.88 | 16 | 0 1 2 |
| 47.31 | 15 | 3 1 -1 |
| 43.54 | 15 | 2 2 -1 |
| 31.24 | 13 | 0 2 0 |
| 10.87 | 12 | 0 0 1 |

---

No. 2
This entry pairs a crystal structure of DyFe5 with its theoretical X-ray powder pattern. Radiation: a wavelength of 1.5418 Å. Structure: a cell relaxed with GGA-PBE.
Neutral-atom scattering factors, no anomalous dispersion.

Atomic structure:
```
DyFe5
1.0
5.006 0.000 0.000
-2.503 4.336 0.000
0.000 0.000 3.953
Dy Fe
1 5
Direct
0.000 0.000 0.000 Dy
0.000 0.500 0.500 Fe
0.333 0.667 0.000 Fe
0.500 0.000 0.500 Fe
0.500 0.500 0.500 Fe
0.667 0.333 0.000 Fe
```

Most intense lines, 10 to 90 degrees two-theta, by intensity:
| 2θ/deg | intensity | (hkl) |
| --- | --- | --- |
| 42.76 | 100 | 1 1 1 |
| 30.60 | 57 | 1 0 1 |
| 41.66 | 37 | 2 0 0 |
| 35.87 | 35 | 1 1 0 |
| 45.91 | 24 | 0 0 2 |
| 69.21 | 22 | 3 0 1 |
| 63.72 | 20 | 2 0 2 |
| 82.76 | 20 | 1 1 3 |
| 61.23 | 16 | 2 1 1 |
| 59.60 | 16 | 1 1 2 |

---

- What is the formula in the first record?
  DyZrF7